[1]
Calculated powder diffractogram
Compound: TmSnSbI2
Radiation: λ = 1.5418 Å (Cu Kα)
Structure: the GGA-PBE geometry in OQMD
Lines closer than 0.1° are merged.

Atomic structure:
Unit cell a=4.384 b=4.384 c=11.462 alpha=90.00 beta=90.00 gamma=120.00
Sites, in units of the cell vectors:
Tm  0.000  0.000  0.000
Sn  0.667  0.333  0.690
Sb  0.333  0.667  0.855
I  0.000  0.000  0.516
I  0.667  0.333  0.165

Peak list (8 most intense, 15° ≤ 2θ ≤ 90°, by angle)
two_theta, intensity
28.19, 100.0
39.40, 38.6
41.18, 34.6
50.65, 19.8
58.30, 12.2
64.73, 15.4
67.26, 16.9
73.86, 12.2

[2]
Calculated powder diffractogram
Compound: HfTl4Te4
Radiation: λ = 1.5418 Å (Cu Kα)
Structure: the GGA-PBE geometry in OQMD
Lines closer than 0.1° are merged.

Atomic structure:
Unit cell a=9.738 b=9.738 c=9.738 alpha=98.18 beta=98.18 gamma=98.18
Sites, in units of the cell vectors:
Hf  0.000  0.000  0.000
Hf  0.254  0.254  0.254
Hf  0.746  0.746  0.746
Tl  0.033  0.864  0.370
Tl  0.136  0.630  0.967
Tl  0.169  0.489  0.620
Tl  0.370  0.033  0.864
Tl  0.380  0.831  0.511
Tl  0.489  0.620  0.169
Tl  0.511  0.380  0.831
Tl  0.620  0.169  0.489
Tl  0.630  0.967  0.136
Tl  0.831  0.511  0.380
Tl  0.864  0.370  0.033
Tl  0.967  0.136  0.630
Te  0.050  0.842  0.738
Te  0.158  0.262  0.950
Te  0.201  0.536  0.303
Te  0.262  0.950  0.158
Te  0.303  0.201  0.536
Te  0.464  0.697  0.799
Te  0.536  0.303  0.201
Te  0.697  0.799  0.464
Te  0.738  0.050  0.842
Te  0.799  0.464  0.697
Te  0.842  0.738  0.050
Te  0.950  0.158  0.262

Peak list (8 most intense, 15° ≤ 2θ ≤ 90°, by angle)
two_theta, intensity
22.27, 34.3
28.17, 46.2
30.73, 20.2
31.20, 100.0
32.18, 67.8
33.11, 21.2
45.43, 28.0
51.81, 18.8